# ScTlRu2I
Calculated PXRD pattern, Cu Ka. Input: DFT lattice parameters and positions (GGA-PBE).
Intensities are scaled so that the largest is 100.

Principal peaks in the range 2θ from 10° to 80°, in order of rising 2θ:
Position (°2θ), intensity
23.9, 10.6
30.1, 100.0
31.0, 32.6
36.8, 41.2
48.9, 36.3
53.0, 14.2
54.7, 18.9
62.2, 25.6
62.7, 17.0
79.6, 12.7

Atomic structure:
Cell: 4.888 4.888 5.764 Å, 90.00 90.00 90.00°
Element x y z (fractional)
Sc 0.000 0.000 0.000
Tl 0.500 0.500 0.500
Ru 0.000 0.500 0.000
Ru 0.500 0.000 0.000
I 0.000 0.000 0.500

=====

# Sm3RuI
Calculated PXRD pattern, Cu Ka. Input: DFT lattice parameters and positions (GGA-PBE).
Intensities are scaled so that the largest is 100.

Principal peaks in the range 2θ from 10° to 80°, in order of rising 2θ:
Position (°2θ), intensity
26.0, 34.0
27.8, 74.2
33.9, 100.0
35.8, 32.9
36.5, 33.8
42.6, 34.5
43.5, 23.5
56.8, 22.5
58.0, 17.6
58.3, 18.8

Atomic structure:
Cell: 4.161 7.284 10.039 Å, 90.00 90.00 90.00°
Element x y z (fractional)
Sm 0.250 0.001 0.144
Sm 0.250 0.499 0.144
Sm 0.250 0.750 0.619
Sm 0.750 0.250 0.381
Sm 0.750 0.501 0.856
Sm 0.750 0.999 0.856
Ru 0.250 0.750 0.902
Ru 0.750 0.250 0.098
I 0.250 0.250 0.642
I 0.750 0.750 0.358

=====

# Sm3RuI
Calculated PXRD pattern, Cu Ka. Input: DFT lattice parameters and positions (GGA-PBE).
Intensities are scaled so that the largest is 100.

Principal peaks in the range 2θ from 10° to 80°, in order of rising 2θ:
Position (°2θ), intensity
28.1, 59.3
28.9, 47.0
30.5, 54.3
30.7, 64.4
32.1, 53.6
34.6, 39.9
36.1, 100.0
37.1, 73.7
46.3, 47.3
60.1, 28.5

Atomic structure:
Cell: 7.958 7.958 10.411 Å, 106.40 106.40 28.50°
Element x y z (fractional)
Sm 0.028 0.028 0.358
Sm 0.234 0.234 0.643
Sm 0.344 0.344 0.119
Sm 0.656 0.656 0.881
Sm 0.766 0.766 0.357
Sm 0.972 0.972 0.642
Ru 0.403 0.403 0.411
Ru 0.597 0.597 0.589
I 0.123 0.123 0.118
I 0.877 0.877 0.882

=====

# SrRu2I
Calculated PXRD pattern, Cu Ka. Input: DFT lattice parameters and positions (GGA-PBE).
Intensities are scaled so that the largest is 100.

Principal peaks in the range 2θ from 10° to 80°, in order of rising 2θ:
Position (°2θ), intensity
22.6, 2.0
37.3, 100.0
44.0, 1.0
53.7, 17.1
67.2, 34.5
79.4, 10.8

Atomic structure:
Cell: 4.825 4.825 4.825 Å, 60.00 60.00 60.00°
Element x y z (fractional)
Sr 0.000 0.000 0.000
Ru 0.250 0.250 0.250
Ru 0.750 0.750 0.750
I 0.500 0.500 0.500

=====

# SrTe2RuI
Calculated PXRD pattern, Cu Ka. Input: DFT lattice parameters and positions (GGA-PBE).
Intensities are scaled so that the largest is 100.

Principal peaks in the range 2θ from 10° to 80°, in order of rising 2θ:
Position (°2θ), intensity
15.8, 15.7
16.7, 29.0
28.7, 100.0
31.9, 47.2
33.9, 80.0
47.2, 62.3
48.6, 29.3
54.8, 16.6
57.4, 27.8
59.3, 31.1

Atomic structure:
Cell: 5.294 5.294 5.618 Å, 90.00 90.00 90.00°
Element x y z (fractional)
Sr 0.000 0.000 0.000
Te 0.000 0.500 0.500
Te 0.500 0.000 0.500
Ru 0.500 0.500 0.500
I 0.500 0.500 0.000

=====

# Tb7RuI12
Calculated PXRD pattern, Cu Ka. Input: DFT lattice parameters and positions (GGA-PBE).
Intensities are scaled so that the largest is 100.

Principal peaks in the range 2θ from 10° to 80°, in order of rising 2θ:
Position (°2θ), intensity
10.3, 13.0
11.2, 30.4
24.8, 10.8
28.6, 100.0
40.4, 34.6
41.2, 35.5
50.9, 17.3
59.1, 13.8
66.4, 12.0
67.5, 13.3

Atomic structure:
Cell: 9.835 9.835 9.835 Å, 106.89 106.89 106.89°
Element x y z (fractional)
Tb 0.000 0.000 0.000
Tb 0.206 0.480 0.407
Tb 0.407 0.206 0.480
Tb 0.480 0.407 0.206
Tb 0.520 0.593 0.794
Tb 0.593 0.794 0.520
Tb 0.794 0.520 0.593
Ru 0.500 0.500 0.500
I 0.038 0.116 0.338
I 0.116 0.338 0.038
I 0.176 0.571 0.725
I 0.275 0.824 0.429
I 0.338 0.038 0.116
I 0.429 0.275 0.824
I 0.571 0.725 0.176
I 0.662 0.962 0.884
I 0.725 0.176 0.571
I 0.824 0.429 0.275
I 0.884 0.662 0.962
I 0.962 0.884 0.662

=====

# Th3RuI3
Calculated PXRD pattern, Cu Ka. Input: DFT lattice parameters and positions (GGA-PBE).
Intensities are scaled so that the largest is 100.

Principal peaks in the range 2θ from 10° to 80°, in order of rising 2θ:
Position (°2θ), intensity
28.3, 18.1
28.8, 72.5
29.0, 100.0
30.8, 30.0
32.0, 21.8
40.7, 46.3
42.0, 29.4
45.3, 22.2
54.6, 25.1
55.7, 21.3

Atomic structure:
Cell: 9.626 4.005 12.410 Å, 90.00 92.72 90.00°
Element x y z (fractional)
Th 0.080 0.250 0.122
Th 0.087 0.250 0.612
Th 0.299 0.750 0.368
Th 0.701 0.250 0.632
Th 0.913 0.750 0.388
Th 0.920 0.750 0.878
Ru 0.109 0.250 0.368
Ru 0.891 0.750 0.632
I 0.189 0.250 0.873
I 0.354 0.750 0.117
I 0.397 0.750 0.628
I 0.603 0.250 0.372
I 0.646 0.250 0.883
I 0.811 0.750 0.127

=====

# Tm3RuI3
Calculated PXRD pattern, Cu Ka. Input: DFT lattice parameters and positions (GGA-PBE).
Intensities are scaled so that the largest is 100.

Principal peaks in the range 2θ from 10° to 80°, in order of rising 2θ:
Position (°2θ), intensity
15.6, 8.6
25.5, 16.5
30.0, 100.0
34.9, 19.4
40.9, 25.4
44.9, 30.2
47.7, 10.9
55.0, 18.2
62.4, 7.0
73.6, 15.3

Atomic structure:
Cell: 12.078 12.078 12.078 Å, 33.64 33.64 33.64°
Element x y z (fractional)
Tm 0.105 0.457 0.806
Tm 0.194 0.895 0.543
Tm 0.457 0.806 0.105
Tm 0.543 0.194 0.895
Tm 0.806 0.105 0.457
Tm 0.895 0.543 0.194
Ru 0.167 0.167 0.167
Ru 0.833 0.833 0.833
I 0.066 0.723 0.394
I 0.277 0.606 0.934
I 0.394 0.066 0.723
I 0.606 0.934 0.277
I 0.723 0.394 0.066
I 0.934 0.277 0.606

=====

# Sb3SI7
Calculated PXRD pattern, Cu Ka. Input: DFT lattice parameters and positions (GGA-PBE).
Intensities are scaled so that the largest is 100.

Principal peaks in the range 2θ from 10° to 80°, in order of rising 2θ:
Position (°2θ), intensity
11.5, 56.7
23.2, 15.3
26.7, 100.0
26.9, 63.6
33.6, 38.9
33.8, 36.3
42.4, 51.7
42.7, 16.0
43.1, 30.7
50.9, 16.6

Atomic structure:
Cell: 8.534 8.534 10.599 Å, 126.66 126.66 59.98°
Element x y z (fractional)
Sb 0.000 0.000 0.000
Sb 0.001 0.474 0.002
Sb 0.474 0.001 0.002
S 0.074 0.074 0.831
I 0.049 0.545 0.773
I 0.445 0.445 0.245
I 0.446 0.946 0.245
I 0.545 0.049 0.773
I 0.545 0.545 0.774
I 0.946 0.446 0.245
I 0.948 0.948 0.250

=====

# Sb3SI7
Calculated PXRD pattern, Cu Ka. Input: DFT lattice parameters and positions (GGA-PBE).
Intensities are scaled so that the largest is 100.

Principal peaks in the range 2θ from 10° to 80°, in order of rising 2θ:
Position (°2θ), intensity
11.7, 29.9
16.8, 10.4
26.9, 100.0
34.0, 49.3
42.4, 31.5
43.5, 28.2
50.9, 16.5
55.4, 11.5
66.1, 14.8
68.3, 13.4

Atomic structure:
Cell: 8.537 8.537 7.545 Å, 90.00 90.00 120.00°
Element x y z (fractional)
Sb 0.176 0.352 0.000
Sb 0.176 0.824 0.000
Sb 0.648 0.824 0.000
S 0.333 0.667 0.172
I 0.000 0.000 0.748
I 0.001 0.500 0.752
I 0.337 0.168 0.232
I 0.500 0.500 0.752
I 0.500 0.999 0.752
I 0.832 0.168 0.232
I 0.832 0.663 0.232